Calculated powder diffraction line list
Compound: BeIn2Rh
Radiation: CuKα
Structure: a PBE-relaxed structure
No peak broadening, texture or thermal motion is included.

Crystal structure
Unit cell a=3.063 b=3.063 c=7.530 alpha=90.00 beta=90.00 gamma=90.00
Element x y z (fractional)
Be 0.000 0.000 0.000
In 0.000 0.000 0.626
In 0.500 0.500 0.269
Rh 0.500 0.500 0.885

Most intense lines, 10° ≤ 2θ ≤ 80°, most intense first:
2.376 Å, I 100, (1 0 2)
2.838 Å, I 82, (1 0 1)
2.166 Å, I 61, (1 1 0)
1.640 Å, I 34, (1 1 3)
2.510 Å, I 33, (0 0 3)
1.287 Å, I 27, (2 1 2)
1.532 Å, I 20, (2 0 0)
1.941 Å, I 18, (1 0 3)
1.307 Å, I 16, (2 0 3)
1.348 Å, I 16, (2 1 1)